Li2Cr3TeO8: computed X-ray powder pattern (Cu Kα (weighted mean of Kα1 and Kα2)), based on a DFT-relaxed cell (GGA+U, Alexandria).
Lines closer than 0.1° are merged.

Crystal structure
abc: 6.1596 6.1596 6.1596
angles: 58.49 58.49 58.49
Fractional positions:
Li 0.1302 0.1302 0.1302
Li 0.8698 0.8698 0.8698
Cr 0.0000 0.5000 0.5000
Cr 0.5000 0.0000 0.5000
Cr 0.5000 0.5000 0.0000
Te 0.5000 0.5000 0.5000
O 0.2582 0.2582 0.7161
O 0.2582 0.7161 0.2582
O 0.2659 0.2659 0.2659
O 0.2839 0.7418 0.7418
O 0.7161 0.2582 0.2582
O 0.7341 0.7341 0.7341
O 0.7418 0.2839 0.7418
O 0.7418 0.7418 0.2839

Principal peaks in the range 15 to 90 degrees two-theta, sorted by position:
17.99 deg, rel. 100; 20.64 deg, rel. 9; 34.04 deg, rel. 19; 34.64 deg, rel. 35; 36.43 deg, rel. 12; 41.99 deg, rel. 49; 46.48 deg, rel. 11; 55.52 deg, rel. 12; 60.12 deg, rel. 16; 61.65 deg, rel. 15